Computed PXRD pattern of CuPtRh2 for Cu Kα, 1.54184 Å, from a PBE-relaxed structure.

Structural model:
```
CuPtRh2
1.0
0.0000 3.0638 3.0638
3.0638 0.0000 3.0638
3.0638 3.0638 0.0000
Cu Pt Rh
1 1 2
direct
0.0000 0.0000 0.0000 Cu
0.2500 0.2500 0.2500 Pt
0.5000 0.5000 0.5000 Rh
0.7500 0.7500 0.7500 Rh
```

Most intense lines, 10 to 90 degrees two-theta, low angle first:
- 3.538 Å, I = 9
- 3.064 Å, I = 9
- 2.166 Å, I = 100
- 1.848 Å, I = 5
- 1.769 Å, I = 3
- 1.532 Å, I = 16
- 1.370 Å, I = 3
- 1.251 Å, I = 33

Computed PXRD pattern of Cu2Pt8Rh3 for Cu Kα, 1.54184 Å, from a PBE-relaxed structure.

Structural model:
```
Cu2Pt8Rh3
1.0
6.0394 -4.2258 0.0000
6.0394 4.2258 0.0000
-0.8251 0.0000 4.0005
Cu Pt Rh
2 8 3
direct
0.1967 0.1967 0.3387 Cu
0.8033 0.8033 0.6613 Cu
0.0721 0.0721 0.7909 Pt
0.1174 0.5783 0.4032 Pt
0.3283 0.3283 0.9010 Pt
0.4217 0.8826 0.5968 Pt
0.5783 0.1174 0.4032 Pt
0.6717 0.6717 0.0990 Pt
0.8826 0.4217 0.5968 Pt
0.9279 0.9279 0.2091 Pt
0.2758 0.7242 0.0000 Rh
0.5000 0.5000 0.5000 Rh
0.7242 0.2758 0.0000 Rh
```

Most intense lines, 10 to 90 degrees two-theta, low angle first:
- 3.041 Å, I = 16
- 2.905 Å, I = 23
- 2.468 Å, I = 32
- 2.451 Å, I = 22
- 2.244 Å, I = 100
- 2.113 Å, I = 40
- 1.984 Å, I = 25
- 1.895 Å, I = 27

Computed PXRD pattern of Cu4Pt4Rh for Cu Kα, 1.54184 Å, from a PBE-relaxed structure.

Structural model:
```
Cu4Pt4Rh
1.0
-4.0530 4.0530 1.9294
4.0530 -4.0530 1.9294
4.0530 4.0530 -1.9294
Cu Pt Rh
4 4 1
direct
0.0000 0.3386 0.3386 Cu
0.0000 0.6614 0.6614 Cu
0.3386 0.0000 0.3386 Cu
0.6614 0.0000 0.6614 Cu
0.3316 0.3316 0.6632 Pt
0.3316 0.6684 0.0000 Pt
0.6684 0.3316 0.0000 Pt
0.6684 0.6684 0.3368 Pt
0.0000 0.0000 0.0000 Rh
```

Most intense lines, 10 to 90 degrees two-theta, low angle first:
- 3.484 Å, I = 10
- 2.213 Å, I = 100
- 1.929 Å, I = 17
- 1.911 Å, I = 32
- 1.358 Å, I = 21
- 1.161 Å, I = 13
- 1.153 Å, I = 24
- 1.107 Å, I = 11

Computed PXRD pattern of Cu2Pt5Rh2 for Cu Kα, 1.54184 Å, from a PBE-relaxed structure.

Structural model:
```
Cu2Pt5Rh2
1.0
5.7948 -1.9572 0.0000
5.7948 1.9572 0.0000
-1.9468 0.0000 5.8087
Cu Pt Rh
2 5 2
direct
0.2215 0.2215 0.3338 Cu
0.7785 0.7785 0.6662 Cu
0.0000 0.0000 0.0000 Pt
0.1179 0.1179 0.6651 Pt
0.4392 0.4392 0.6656 Pt
0.5608 0.5608 0.3344 Pt
0.8821 0.8821 0.3349 Pt
0.3320 0.3320 0.0074 Rh
0.6680 0.6680 0.9926 Rh
```

Most intense lines, 10 to 90 degrees two-theta, low angle first:
- 5.494 Å, I = 9
- 2.242 Å, I = 100
- 1.957 Å, I = 17
- 1.936 Å, I = 16
- 1.932 Å, I = 16
- 1.376 Å, I = 23
- 1.178 Å, I = 13
- 1.167 Å, I = 12

Computed PXRD pattern of Cu3Pt12Rh for Cu Kα, 1.54184 Å, from a PBE-relaxed structure.

Structural model:
```
Cu3Pt12Rh
1.0
3.9058 0.0000 0.0000
0.0000 3.9058 0.0000
0.0000 0.0000 15.7182
Cu Pt Rh
3 12 1
direct
0.0000 0.0000 0.0000 Cu
0.0000 0.0000 0.2484 Cu
0.0000 0.0000 0.7516 Cu
0.0000 0.5000 0.1243 Pt
0.0000 0.5000 0.3725 Pt
0.0000 0.5000 0.6275 Pt
0.0000 0.5000 0.8757 Pt
0.5000 0.0000 0.1243 Pt
0.5000 0.0000 0.3725 Pt
0.5000 0.0000 0.6275 Pt
0.5000 0.0000 0.8757 Pt
0.5000 0.5000 0.0000 Pt
0.5000 0.5000 0.2479 Pt
0.5000 0.5000 0.5000 Pt
0.5000 0.5000 0.7521 Pt
0.0000 0.0000 0.5000 Rh
```

Most intense lines, 10 to 90 degrees two-theta, low angle first:
- 2.260 Å, I = 100
- 1.965 Å, I = 16
- 1.953 Å, I = 32
- 1.385 Å, I = 21
- 1.381 Å, I = 11
- 1.183 Å, I = 13
- 1.178 Å, I = 25
- 1.130 Å, I = 11

Computed PXRD pattern of Cu2RuPt9 for Cu Kα, 1.54184 Å, from a PBE-relaxed structure.

Structural model:
```
Cu2RuPt9
1.0
3.9165 0.0000 0.0000
0.0000 3.9165 0.0000
0.0000 0.0000 11.7283
Cu Ru Pt
2 1 9
direct
0.0000 0.0000 0.1660 Cu
0.0000 0.0000 0.8340 Cu
0.0000 0.0000 0.5000 Ru
0.0000 0.5000 0.0000 Pt
0.0000 0.5000 0.3328 Pt
0.0000 0.5000 0.6672 Pt
0.5000 0.0000 0.0000 Pt
0.5000 0.0000 0.3328 Pt
0.5000 0.0000 0.6672 Pt
0.5000 0.5000 0.1647 Pt
0.5000 0.5000 0.5000 Pt
0.5000 0.5000 0.8353 Pt
```

Most intense lines, 10 to 90 degrees two-theta, low angle first:
- 3.914 Å, I = 9
- 2.768 Å, I = 7
- 2.260 Å, I = 100
- 1.957 Å, I = 49
- 1.384 Å, I = 32
- 1.181 Å, I = 26
- 1.179 Å, I = 13
- 1.130 Å, I = 11